LiAcPmTl: theoretical X-ray powder pattern (a wavelength of 1.5418 Å), based on a cell relaxed with GGA-PBE.

Structure:
```
LiAcPmTl
1.0
4.441 0.000 0.000
0.000 5.173 0.000
0.000 0.000 5.352
Li Ac Pm Tl
1 1 1 1
Direct
0.000 0.000 0.000
0.500 0.500 0.000
0.500 0.000 0.500
0.000 0.500 0.500
```

Main lines, sorted by position (5° ≤ 2θ ≤ 70°):
two_theta, d [Å], intensity
17.1, 5.173, 23
26.1, 3.418, 17
31.4, 2.851, 100
33.5, 2.676, 21
34.7, 2.586, 19
40.6, 2.220, 13
49.0, 1.860, 15
58.5, 1.577, 17
60.1, 1.539, 16
65.5, 1.426, 14